(1)
For Mg3Tl2Pb3, DFT lattice parameters and positions (PBE) gives the calculated X-ray powder pattern in this record (a wavelength of 1.5418 Å).
Neutral-atom scattering factors, no anomalous dispersion.

Unit cell a=6.0702 b=6.0702 c=6.0702 alpha=94.01 beta=94.01 gamma=94.01
Positions (direct):
1 Mg 0.0000 0.7019 0.2981
2 Mg 0.2981 0.0000 0.7019
3 Mg 0.7019 0.2981 0.0000
4 Tl 0.1988 0.1988 0.1988
5 Tl 0.8012 0.8012 0.8012
6 Pb 0.2595 0.5000 0.7405
7 Pb 0.5000 0.7405 0.2595
8 Pb 0.7405 0.2595 0.5000

Top 8 peaks for 2θ = 5–70°, by intensity:
2θ (°)	I/Imax
35.97	100
32.13	93
20.00	60
34.19	57
27.44	53
29.59	51
35.00	41
62.26	34

---

(2)
For TbPmAg3, DFT lattice parameters and positions (PBE) gives the calculated X-ray powder pattern in this record (a wavelength of 1.5418 Å).
Neutral-atom scattering factors, no anomalous dispersion.

Unit cell a=8.2072 b=7.9678 c=5.9377 alpha=70.63 beta=66.33 gamma=43.04
Positions (direct):
1 Tb 0.2500 0.2500 0.2500
2 Tb 0.7500 0.7500 0.7500
3 Pm 0.2065 0.7935 0.2065
4 Pm 0.7935 0.2065 0.7935
5 Ag 0.1966 0.1966 0.8034
6 Ag 0.2178 0.5809 0.7822
7 Ag 0.4191 0.7822 0.5809
8 Ag 0.5809 0.2178 0.4191
9 Ag 0.7822 0.4191 0.2178
10 Ag 0.8034 0.8034 0.1966

Top 8 peaks for 2θ = 5–70°, by intensity:
2θ (°)	I/Imax
33.01	100
32.88	51
36.08	26
35.86	25
45.54	23
40.80	23
50.45	15
25.92	14

---

(3)
For Mn2Sb2PtAu, DFT lattice parameters and positions (PBE) gives the calculated X-ray powder pattern in this record (a wavelength of 1.5418 Å).
Neutral-atom scattering factors, no anomalous dispersion.

Unit cell a=7.7834 b=7.7834 c=7.7834 alpha=33.49 beta=33.49 gamma=33.49
Positions (direct):
1 Mn 0.0000 0.0000 0.0000
2 Mn 0.4943 0.4943 0.4943
3 Sb 0.2437 0.2437 0.2437
4 Sb 0.7504 0.7504 0.7504
5 Pt 0.1211 0.1211 0.1211
6 Au 0.6232 0.6232 0.6232

Top 6 peaks for 2θ = 5–70°, by intensity:
2θ (°)	I/Imax
40.19	100
24.29	75
47.51	38
58.13	17
63.99	8
63.88	8